No. 1
# ErTmSc2
Computed X-ray powder pattern, Cu Kα. Input: a structure optimized by DFT (PBE).

Cell and atoms:
```
ErTmSc2
1.0
3.4125 0.0000 0.0000
0.0000 3.4125 0.0000
0.0000 0.0000 9.3754
Er Tm Sc
1 1 2
Cartesian
0.0000 0.0000 0.0000
0.0000 0.0000 4.6877
1.7062 1.7062 2.3497
1.7062 1.7062 7.0258
```

Largest 10 diffraction maxima, sorted by position, 5 to 70 degrees two-theta:
hkl 0 0 2, 18.93 deg, rel. 30; hkl 1 0 0, 26.11 deg, rel. 28; hkl 1 0 2, 32.45 deg, rel. 100; hkl 1 1 0, 37.26 deg, rel. 34; hkl 0 0 4, 38.41 deg, rel. 16; hkl 1 1 2, 42.12 deg, rel. 17; hkl 1 0 4, 47.03 deg, rel. 12; hkl 1 1 4, 54.59 deg, rel. 22; hkl 2 1 2, 64.18 deg, rel. 27; hkl 1 0 6, 65.73 deg, rel. 13

No. 2
# Tb3Sm8Mg
Computed X-ray powder pattern, Cu Kα. Input: a structure optimized by DFT (PBE).

Cell and atoms:
```
Tb3Sm8Mg
1.0
3.5813 0.0000 0.0000
-0.0008 9.7318 0.0000
-1.7840 -3.5808 11.2634
Tb Sm Mg
3 8 1
Cartesian
0.0000 0.0000 0.0000
0.0006 4.5350 2.5190
1.7895 6.1084 5.3533
0.0010 7.9381 2.8568
-0.0031 3.0422 5.5715
0.0111 -0.3379 5.9025
0.0090 -0.4657 10.9082
1.7903 6.5588 0.1456
1.7917 1.3451 2.9196
1.8042 -2.0360 8.3475
1.7976 1.7126 8.4374
0.0056 4.7892 8.4273
```

Largest 10 diffraction maxima, sorted by position, 5 to 70 degrees two-theta:
hkl 1 1 1, 30.45 deg, rel. 56; hkl 1 -2 0, 31.06 deg, rel. 75; hkl 0 3 -3, 31.42 deg, rel. 100; hkl 1 1 -3, 31.56 deg, rel. 89; hkl 0 0 4, 31.78 deg, rel. 96; hkl 1 0 2, 31.92 deg, rel. 32; hkl 0 3 1, 32.27 deg, rel. 85; hkl 1 2 0, 32.56 deg, rel. 35; hkl 2 3 -4, 61.14 deg, rel. 30; hkl 2 0 -5, 61.36 deg, rel. 33

No. 3
# AcBPt2
Computed X-ray powder pattern, Cu Kα. Input: a structure optimized by DFT (PBE).

Cell and atoms:
```
AcBPt2
1.0
5.6970 0.0000 0.0000
-2.8485 4.9338 0.0000
0.0000 0.0000 8.1590
Ac B Pt
3 3 6
Cartesian
-1.4243 2.4669 1.3598
2.8485 0.0000 4.0795
1.4243 2.4669 6.7991
-1.4243 2.4669 5.4393
2.8485 0.0000 0.0000
1.4243 2.4669 2.7197
0.0000 1.5704 4.0795
-1.4885 4.1486 6.7991
1.3600 0.7852 1.3598
1.4885 4.1486 1.3598
4.3370 0.7852 6.7991
2.8485 3.3634 4.0795
```

Largest 10 diffraction maxima, sorted by position, 5 to 70 degrees two-theta:
hkl 1 1 0, 31.40 deg, rel. 15; hkl 0 0 3, 32.93 deg, rel. 39; hkl 1 1 1, 33.32 deg, rel. 100; hkl 1 1 2, 38.55 deg, rel. 71; hkl 1 1 3, 46.15 deg, rel. 10; hkl 1 1 4, 55.40 deg, rel. 25; hkl 3 0 1, 57.13 deg, rel. 22; hkl 3 0 2, 60.72 deg, rel. 19; hkl 2 2 0, 65.54 deg, rel. 17; hkl 1 1 5, 65.98 deg, rel. 14

Q: What is the formula in the second record?
A: Tb3Sm8Mg

Repeat the first record exactly.
# ErTmSc2
Computed X-ray powder pattern, Cu Kα. Input: a structure optimized by DFT (PBE).

Cell and atoms:
```
ErTmSc2
1.0
3.4125 0.0000 0.0000
0.0000 3.4125 0.0000
0.0000 0.0000 9.3754
Er Tm Sc
1 1 2
Cartesian
0.0000 0.0000 0.0000
0.0000 0.0000 4.6877
1.7062 1.7062 2.3497
1.7062 1.7062 7.0258
```

Largest 10 diffraction maxima, sorted by position, 5 to 70 degrees two-theta:
hkl 0 0 2, 18.93 deg, rel. 30; hkl 1 0 0, 26.11 deg, rel. 28; hkl 1 0 2, 32.45 deg, rel. 100; hkl 1 1 0, 37.26 deg, rel. 34; hkl 0 0 4, 38.41 deg, rel. 16; hkl 1 1 2, 42.12 deg, rel. 17; hkl 1 0 4, 47.03 deg, rel. 12; hkl 1 1 4, 54.59 deg, rel. 22; hkl 2 1 2, 64.18 deg, rel. 27; hkl 1 0 6, 65.73 deg, rel. 13